Simulated powder X-ray diffraction pattern
Compound: KTlSnCl4
Radiation: Cu Kα
Structure: DFT lattice parameters and positions (GGA-PBE)
Neutral-atom scattering factors, no anomalous dispersion.

Most intense lines, 10° ≤ 2θ ≤ 90°, by angle:
- 2θ 11.03, I = 45
- 2θ 16.85, I = 35
- 2θ 22.57, I = 77
- 2θ 23.06, I = 79
- 2θ 25.19, I = 26
- 2θ 32.16, I = 100
- 2θ 39.92, I = 41
- 2θ 40.79, I = 20
- 2θ 46.11, I = 50
- 2θ 47.12, I = 29

Cell and atoms:
```
KTlSnCl4
1.0
-2.7855 2.7855 8.0204
2.7855 -2.7855 8.0204
2.7855 2.7855 -8.0204
K Tl Sn Cl
1 1 1 4
direct
0.0000 0.0000 0.0000
0.7211 0.7211 0.0000
0.3637 0.3637 0.0000
0.1923 0.1923 0.0000
0.3734 0.8734 0.5000
0.5432 0.5432 0.0000
0.8734 0.3734 0.5000
```